# 1
The following is a simulated powder diffractogram of NpCd. It was derived from a cell relaxed with PBE, using CuKα.

Principal peaks in the range 2θ = 5–70°, sorted by position:
2θ = 15.19°, rel. 352
2θ = 30.66°, rel. 636
2θ = 36.34°, rel. 272
2θ = 36.47°, rel. 135
2θ = 39.60°, rel. 1000
2θ = 39.71°, rel. 496
2θ = 48.30°, rel. 372
2θ = 60.62°, rel. 433
2θ = 63.84°, rel. 79
2θ = 65.31°, rel. 74
2θ = 65.55°, rel. 146
2θ = 67.73°, rel. 35

Lattice parameters (Å, degrees): 5.8322 2.8482 2.8482 60.22 90.00 90.00
Fractional positions:
Np  0.0000  0.0000  0.0000
Cd  0.5000  0.6666  0.6666

---

# 2
The following is a simulated powder diffractogram of NdMgHg2. It was derived from a cell relaxed with PBE, using CuKα.

Principal peaks in the range 2θ = 5–70°, sorted by position:
2θ = 20.95°, rel. 100
2θ = 24.24°, rel. 193
2θ = 34.54°, rel. 1000
2θ = 40.75°, rel. 55
2θ = 42.65°, rel. 62
2θ = 49.66°, rel. 181
2θ = 54.46°, rel. 24
2θ = 56.00°, rel. 86
2θ = 61.90°, rel. 376
2θ = 66.11°, rel. 18

Lattice parameters (Å, degrees): 5.1930 5.1930 5.1930 60.00 60.00 60.00
Fractional positions:
Nd  0.0000  0.0000  0.0000
Mg  0.5000  0.5000  0.5000
Hg  0.2500  0.2500  0.2500
Hg  0.7500  0.7500  0.7500

---

# 3
The following is a simulated powder diffractogram of HfTiSn2O6. It was derived from a cell relaxed with PBE, using CuKα.

Principal peaks in the range 2θ = 5–70°, sorted by position:
2θ = 19.01°, rel. 177
2θ = 31.29°, rel. 1000
2θ = 36.87°, rel. 116
2θ = 38.57°, rel. 29
2θ = 44.84°, rel. 311
2θ = 49.12°, rel. 57
2θ = 55.69°, rel. 408
2θ = 59.40°, rel. 39
2θ = 65.28°, rel. 193
2θ = 68.68°, rel. 39

Lattice parameters (Å, degrees): 5.7172 5.7172 5.7172 60.00 60.00 60.00
Fractional positions:
Hf  0.0000  0.0000  0.0000
Ti  0.5000  0.5000  0.5000
Sn  0.2500  0.2500  0.2500
Sn  0.7500  0.7500  0.7500
O  0.2563  0.2563  0.7437
O  0.2563  0.7437  0.2563
O  0.2563  0.7437  0.7437
O  0.7437  0.2563  0.2563
O  0.7437  0.2563  0.7437
O  0.7437  0.7437  0.2563